(1)
Computed X-ray diffraction stick pattern
Compound: Li2Ti3Bi4O12
Radiation: Cu Kα X-rays
Structure: a cell relaxed with PBE

Structure:
Cell lengths 5.719, 32.875, 5.711 Å; angles 90.00, 90.00, 90.00 degrees
Space group Aea2 (No. 41)
One atom of each set of equivalent atoms:
Li 0.229 0.181 0.000 x8
Ti 0.000 0.000 0.767 x4
Ti 0.020 0.118 0.739 x8
Bi 0.030 0.437 0.750 x8
Bi 0.127 0.288 0.786 x8
O 0.025 0.324 0.261 x8
O 0.081 0.058 0.769 x8
O 0.221 0.123 0.470 x8
O 0.239 0.241 0.525 x8
O 0.242 0.395 0.510 x8
O 0.248 0.487 0.522 x8

Top 6 peaks for 15° ≤ 2θ ≤ 90°, in order of rising 2θ:
2θ (°)	I/Imax
22.2	27
22.5	23
29.2	100
31.3	37
35.2	26
38.4	30


(2)
Computed X-ray diffraction stick pattern
Compound: Li2Ti3BiO8
Radiation: Cu Kα X-rays
Structure: a cell relaxed with PBE

Structure:
Cell lengths 6.0095, 6.0095, 17.1465 Å; angles 90.00, 90.00, 120.00 degrees
Space group R-3m (No. 166, hexagonal axes)
One atom of each set of equivalent atoms:
Li 0.0000 0.0000 0.0941 x6
Ti 0.0000 0.5000 0.0000 x9
Bi 0.0000 0.0000 0.5000 x3
O 0.0000 0.0000 0.2735 x6
O 0.0228 0.5114 0.2672 x18

Top 6 peaks for 15° ≤ 2θ ≤ 90°, in order of rising 2θ:
2θ (°)	I/Imax
17.8	100
20.0	29
31.2	34
33.7	40
40.6	39
46.5	14